1.
This entry pairs a crystal structure of NaBi2IrPb with its simulated PXRD pattern. Radiation: Cu Kα (λ = 1.5418 Å). Structure: DFT lattice parameters and positions (GGA-PBE).
Intensities are scaled so that the largest is 100.

Structure:
```
NaBi2IrPb
1.0
5.3586 0.0000 0.0000
0.0000 5.3586 0.0000
0.0000 0.0000 4.9583
Na Bi Ir Pb
1 2 1 1
direct
0.0000 0.0000 0.0000
0.0000 0.5000 0.0000
0.5000 0.0000 0.0000
0.0000 0.0000 0.5000
0.5000 0.5000 0.5000
```

Principal peaks in the range 10 to 80 degrees two-theta, sorted by position:
- 29.67°, rel. 100.0
- 33.44°, rel. 41.6
- 36.23°, rel. 16.9
- 48.02°, rel. 15.4
- 50.13°, rel. 27.2
- 57.47°, rel. 32.5


2.
This entry pairs a crystal structure of BaPrAlSe4 with its simulated PXRD pattern. Radiation: Cu Kα (λ = 1.5418 Å). Structure: DFT lattice parameters and positions (GGA-PBE).
Intensities are scaled so that the largest is 100.

Structure:
```
BaPrAlSe4
1.0
6.9592 0.0000 0.0000
0.0000 7.0563 0.0000
-2.6844 0.0000 8.4558
Ba Pr Al Se
2 2 2 8
direct
0.2438 0.2500 0.4361
0.7562 0.7500 0.5639
0.2731 0.2500 0.9459
0.7269 0.7500 0.0541
0.2716 0.7500 0.1820
0.7284 0.2500 0.8180
0.0695 0.7500 0.9141
0.0770 0.7500 0.3609
0.4933 0.5076 0.7701
0.4933 0.9924 0.7701
0.5067 0.0076 0.2299
0.5067 0.4924 0.2299
0.9230 0.2500 0.6391
0.9305 0.2500 0.0859
```

Principal peaks in the range 10 to 80 degrees two-theta, sorted by position:
- 18.36°, rel. 49.9
- 28.71°, rel. 100.0
- 31.02°, rel. 58.4
- 31.48°, rel. 51.8
- 33.07°, rel. 52.4
- 33.21°, rel. 53.3


3.
This entry pairs a crystal structure of YbGa5 with its simulated PXRD pattern. Radiation: Cu Kα (λ = 1.5418 Å). Structure: DFT lattice parameters and positions (GGA-PBE).
Intensities are scaled so that the largest is 100.

Structure:
```
YbGa5
1.0
-2.1423 2.1423 13.1716
2.1423 -2.1423 13.1716
2.1423 2.1423 -13.1716
Yb Ga
2 10
direct
0.1474 0.1474 0.0000
0.8526 0.8526 0.0000
0.0472 0.5472 0.5000
0.2500 0.7500 0.5000
0.3060 0.3060 0.0000
0.3990 0.3990 0.0000
0.4528 0.9528 0.5000
0.5472 0.0472 0.5000
0.6010 0.6010 0.0000
0.6940 0.6940 0.0000
0.7500 0.2500 0.5000
0.9528 0.4528 0.5000
```

Principal peaks in the range 10 to 80 degrees two-theta, sorted by position:
- 31.64°, rel. 56.3
- 32.53°, rel. 100.0
- 36.02°, rel. 33.0
- 42.18°, rel. 68.4
- 43.28°, rel. 22.9
- 53.68°, rel. 25.3


> Number 1 is which compound?

NaBi2IrPb